The following is a simulated XRD peak list of Li4PrAu8. It was derived from a crystal structure in Alexandria, relaxed with PBE, using Cu Ka.
No peak broadening, texture or thermal motion is included.

Structure:
Lattice parameters (Å, degrees): 7.085 7.085 7.085 98.13 98.13 135.82
Atoms (fractional coordinates):
Li: 0.000 0.000 0.500
Li: 0.000 0.500 0.000
Li: 0.500 0.000 0.000
Li: 0.500 0.500 0.500
Pr: 0.000 0.000 0.000
Au: 0.000 0.339 0.339
Au: 0.000 0.661 0.661
Au: 0.278 0.500 0.778
Au: 0.339 0.000 0.339
Au: 0.500 0.278 0.778
Au: 0.500 0.722 0.222
Au: 0.661 0.000 0.661
Au: 0.722 0.500 0.222

Main lines, in order of falling intensity (2θ from 5° to 70°):
| d/Å | I_rel |
| --- | --- |
| 2.319 | 100 |
| 3.282 | 49 |
| 2.665 | 47 |
| 2.676 | 36 |
| 2.075 | 34 |
| 2.069 | 30 |
| 4.638 | 22 |
| 1.462 | 18 |
| 1.750 | 18 |
| 1.399 | 14 |